Entry 1:
The following is a computed powder X-ray diffraction pattern of Rb2HoCl4. It was derived from the GGA-PBE geometry in Alexandria, using Cu Kα.
Peak positions follow from Bragg's law for the DFT cell and can differ from measured ones.

Peak list (10 most intense, 2θ from 10° to 90°, by angle)
| d (Å) | 2θ/deg | I_rel |
| --- | --- | --- |
| 8.432 | 10.49 | 69 |
| 5.077 | 17.47 | 29 |
| 3.865 | 23.01 | 100 |
| 3.764 | 23.63 | 89 |
| 2.849 | 31.40 | 37 |
| 2.810 | 31.85 | 41 |
| 2.662 | 33.67 | 73 |
| 2.252 | 40.03 | 29 |
| 2.192 | 41.18 | 46 |
| 1.933 | 47.02 | 40 |

Atomic structure:
```
Rb2HoCl4
1.0
5.324 0.000 0.000
0.000 5.324 0.000
0.000 0.000 16.864
Rb Ho Cl
4 2 8
Direct
0.000 0.000 0.143
0.000 0.000 0.857
0.500 0.500 0.357
0.500 0.500 0.643
0.000 0.000 0.500
0.500 0.500 0.000
0.000 0.000 0.340
0.000 0.000 0.660
0.000 0.500 0.000
0.000 0.500 0.500
0.500 0.000 0.000
0.500 0.000 0.500
0.500 0.500 0.160
0.500 0.500 0.840
```

Entry 2:
The following is a computed powder X-ray diffraction pattern of CaIrO4. It was derived from the GGA-PBE geometry in Alexandria, using Cu Kα.
Peak positions follow from Bragg's law for the DFT cell and can differ from measured ones.

Peak list (10 most intense, 2θ from 10° to 90°, by angle)
| d (Å) | 2θ/deg | I_rel |
| --- | --- | --- |
| 4.823 | 18.39 | 60 |
| 3.148 | 28.35 | 100 |
| 3.120 | 28.61 | 25 |
| 2.894 | 30.90 | 15 |
| 2.653 | 33.79 | 20 |
| 2.324 | 38.74 | 17 |
| 1.955 | 46.44 | 30 |
| 1.876 | 48.53 | 14 |
| 1.716 | 53.41 | 17 |
| 1.611 | 57.16 | 28 |

Atomic structure:
```
CaIrO4
1.0
-2.653 2.653 5.787
2.653 -2.653 5.787
2.653 2.653 -5.787
Ca Ir O
2 2 8
Direct
0.375 0.125 0.250
0.625 0.875 0.750
0.125 0.375 0.750
0.875 0.625 0.250
0.043 0.203 0.336
0.207 0.543 0.340
0.297 0.133 0.840
0.367 0.707 0.164
0.633 0.293 0.836
0.703 0.867 0.160
0.793 0.457 0.660
0.957 0.797 0.664
```

Entry 3:
The following is a computed powder X-ray diffraction pattern of Pa3Ga4Cu4. It was derived from the GGA-PBE geometry in Alexandria, using Cu Kα.
Peak positions follow from Bragg's law for the DFT cell and can differ from measured ones.

Peak list (10 most intense, 2θ from 10° to 90°, by angle)
| d (Å) | 2θ/deg | I_rel |
| --- | --- | --- |
| 3.925 | 22.66 | 32 |
| 2.648 | 33.86 | 22 |
| 2.541 | 35.32 | 59 |
| 2.502 | 35.90 | 100 |
| 2.441 | 36.82 | 14 |
| 2.191 | 41.20 | 33 |
| 2.108 | 42.89 | 44 |
| 1.716 | 53.38 | 15 |
| 1.659 | 55.36 | 33 |
| 1.331 | 70.79 | 20 |

Atomic structure:
```
Pa3Ga4Cu4
1.0
-1.716 2.191 13.228
1.716 -2.191 13.228
1.716 2.191 -13.228
Pa Ga Cu
3 4 4
Direct
0.000 0.000 0.000
0.356 0.856 0.500
0.644 0.144 0.500
0.191 0.691 0.500
0.450 0.450 0.000
0.550 0.550 0.000
0.809 0.309 0.500
0.096 0.596 0.500
0.259 0.259 0.000
0.741 0.741 0.000
0.904 0.404 0.500
```